This entry pairs a crystal structure of Na10B17C3 with its simulated XRD peak list. Radiation: λ = 1.5418 Å (Cu Kα). Structure: a crystal structure in Alexandria, relaxed with PBE.
Intensities are scaled so that the largest is 100.

```
Na10B17C3
1.0
9.099 -1.412 0.000
9.099 1.412 0.000
-5.200 0.000 12.759
Na B C
10 17 3
Cartesian
0.000 0.000 0.000
15.612 0.000 6.338
-1.052 0.000 11.510
1.578 0.000 5.093
5.726 0.000 3.798
3.130 0.000 10.187
9.886 0.000 2.544
7.282 0.000 8.917
14.035 0.000 1.287
11.437 0.000 7.637
-3.695 0.000 10.246
-1.071 0.000 3.923
0.062 0.000 7.575
2.670 0.000 1.252
0.540 0.000 9.168
3.192 0.000 2.963
1.519 0.000 12.426
4.602 0.000 7.571
7.221 0.000 1.330
8.350 0.000 4.933
5.741 0.000 11.347
8.844 0.000 6.532
11.447 0.000 0.222
9.939 0.000 10.185
13.007 0.000 5.287
14.019 0.000 8.643
16.620 0.000 2.302
4.148 0.000 6.077
12.528 0.000 3.736
10.392 0.000 11.674
```

Main lines, in order of rising 2θ (2θ = 10–90°):
Position (°2θ)  d_spacing  I (rel.)
33.6  2.668  14
36.0  2.497  17
39.6  2.275  49
41.5  2.175  38
41.7  2.165  100
56.1  1.640  10
61.6  1.505  18
74.4  1.275  10
75.9  1.254  13
77.0  1.238  17